# MnV2O7
Simulated powder XRD pattern, λ = 1.5418 Å (Cu Kα). Input: the GGA+U geometry in the Materials Project.
Intensities are scaled so that the largest is 1000.

Peak list (12 most intense, 10° ≤ 2θ ≤ 90°, in order of rising 2θ)
- 15.8°, I 1000
- 18.0°, I 177
- 18.6°, I 475
- 23.0°, I 316
- 24.8°, I 294
- 26.4°, I 190
- 26.7°, I 174
- 27.5°, I 368
- 27.7°, I 491
- 28.2°, I 508
- 29.3°, I 473
- 32.8°, I 406

Cell and atoms:
```
20
Lattice="5.845 0.000 0.000 1.816 6.760 0.000 1.099 1.138 7.750" Properties=species:S:1:pos:R:3 pbc="T T T"
Mn 1.516 2.711 2.691
Mn 7.244 5.187 5.059
V 2.385 6.021 1.849
V 3.355 3.228 7.038
V 5.404 4.669 0.712
V 6.375 1.877 5.901
O 0.615 0.827 2.420
O 2.127 4.906 3.155
O 1.953 2.115 7.009
O 3.081 4.362 5.809
O 2.294 2.848 0.814
O 3.037 2.097 3.318
O 3.915 5.650 1.007
O 4.845 2.248 6.744
O 5.723 5.801 4.433
O 6.466 5.050 6.936
O 5.679 3.536 1.941
O 6.807 5.783 0.741
O 6.633 2.992 4.595
O 8.145 7.071 5.331
```